[1]
Structure and calculated X-ray powder pattern of Y6MnBi2 (a cell relaxed with GGA-PBE; Cu Kα, 1.54184 Å).
Kinematic intensities with the Lorentz-polarization factor, no thermal factor.

Structural model:
```
data_Y6MnBi2
_cell_length_a 8.3257
_cell_length_b 8.3257
_cell_length_c 4.3175
_cell_angle_alpha 90.00
_cell_angle_beta 90.00
_cell_angle_gamma 120.00
_symmetry_space_group_name_H-M 'P -6 2 m'
_symmetry_Int_Tables_number 189
_symmetry_space_group_name_Hall 'P -6 -2'
loop_
_atom_site_label
_atom_site_fract_x
_atom_site_fract_y
_atom_site_fract_z
_atom_site_occupancy
Y1 0.0000 0.2340 0.0000 1
Y2 0.0000 0.6039 0.5000 1
Mn1 0.0000 0.0000 0.5000 1
Bi1 0.3333 0.6667 0.0000 1
```

Main lines, low angle first (15° ≤ 2θ ≤ 90°):
d 4.163, I 29, hkl 1 1 0
d 2.997, I 100, hkl 1 1 1
d 2.767, I 65, hkl 2 0 1
d 2.725, I 45, hkl 2 1 0
d 2.403, I 41, hkl 3 0 0
d 2.305, I 43, hkl 2 1 1
d 2.159, I 23, hkl 0 0 2
d 1.606, I 24, hkl 3 0 2
d 1.545, I 23, hkl 3 2 1
d 1.478, I 26, hkl 4 1 1

=====

[2]
Structure and calculated X-ray powder pattern of SrO (a cell relaxed with GGA-PBE; Cu Kα, 1.54184 Å).
Kinematic intensities with the Lorentz-polarization factor, no thermal factor.

Structural model:
```
data_SrO
_cell_length_a 3.1417
_cell_length_b 3.1417
_cell_length_c 3.1417
_cell_angle_alpha 90.00
_cell_angle_beta 90.00
_cell_angle_gamma 90.00
_symmetry_space_group_name_H-M 'P m -3 m'
_symmetry_Int_Tables_number 221
_symmetry_space_group_name_Hall '-P 4 2 3'
loop_
_atom_site_label
_atom_site_fract_x
_atom_site_fract_y
_atom_site_fract_z
_atom_site_occupancy
Sr1 0.0000 0.0000 0.0000 1
O1 0.5000 0.5000 0.5000 1
```

Main lines, low angle first (15° ≤ 2θ ≤ 90°):
d 3.142, I 61, hkl 1 0 0
d 2.222, I 100, hkl 1 1 0
d 1.814, I 18, hkl 1 1 1
d 1.571, I 16, hkl 2 0 0
d 1.405, I 24, hkl 2 1 0
d 1.283, I 31, hkl 2 1 1
d 1.111, I 10, hkl 2 2 0

=====

[3]
Structure and calculated X-ray powder pattern of HoCuO3 (a cell relaxed with GGA-PBE; Cu Kα, 1.54184 Å).
Kinematic intensities with the Lorentz-polarization factor, no thermal factor.

Structural model:
```
data_HoCuO3
_cell_length_a 3.7652
_cell_length_b 3.7652
_cell_length_c 3.7652
_cell_angle_alpha 90.00
_cell_angle_beta 90.00
_cell_angle_gamma 90.00
_symmetry_space_group_name_H-M 'P m -3 m'
_symmetry_Int_Tables_number 221
_symmetry_space_group_name_Hall '-P 4 2 3'
loop_
_atom_site_label
_atom_site_fract_x
_atom_site_fract_y
_atom_site_fract_z
_atom_site_occupancy
Ho1 0.0000 0.0000 0.0000 1
Cu1 0.5000 0.5000 0.5000 1
O1 0.0000 0.5000 0.5000 1
```

Main lines, low angle first (15° ≤ 2θ ≤ 90°):
d 3.765, I 15, hkl 1 0 0
d 2.662, I 100, hkl 1 1 0
d 2.174, I 16, hkl 1 1 1
d 1.883, I 30, hkl 2 0 0
d 1.684, I 7, hkl 2 1 0
d 1.537, I 38, hkl 2 1 1
d 1.331, I 17, hkl 2 2 0
d 1.255, I 4, hkl 3 0 0
d 1.191, I 16, hkl 3 1 0
d 1.135, I 6, hkl 3 1 1

=====

[4]
Structure and calculated X-ray powder pattern of EuAgAs (a cell relaxed with GGA-PBE; Cu Kα, 1.54184 Å).
Kinematic intensities with the Lorentz-polarization factor, no thermal factor.

Structural model:
```
data_EuAgAs
_cell_length_a 4.5602
_cell_length_b 4.5602
_cell_length_c 8.1755
_cell_angle_alpha 90.00
_cell_angle_beta 90.00
_cell_angle_gamma 120.00
_symmetry_space_group_name_H-M 'P 63/m m c'
_symmetry_Int_Tables_number 194
_symmetry_space_group_name_Hall '-P 6c 2c'
loop_
_atom_site_label
_atom_site_fract_x
_atom_site_fract_y
_atom_site_fract_z
_atom_site_occupancy
Eu1 0.0000 0.0000 0.0000 1
Ag1 0.3333 0.6667 0.2500 1
As1 0.3333 0.6667 0.7500 1
```

Main lines, low angle first (15° ≤ 2θ ≤ 90°):
d 3.949, I 6, hkl 1 0 0
d 2.840, I 100, hkl 1 0 2
d 2.280, I 51, hkl 1 1 0
d 2.044, I 12, hkl 0 0 4
d 1.778, I 25, hkl 2 0 2
d 1.522, I 28, hkl 1 1 4
d 1.402, I 22, hkl 2 1 2
d 1.316, I 9, hkl 3 0 0
d 1.288, I 8, hkl 1 0 6
d 1.107, I 10, hkl 3 0 4

=====

[5]
Structure and calculated X-ray powder pattern of Sr3GeO5 (a cell relaxed with GGA-PBE; Cu Kα, 1.54184 Å).
Kinematic intensities with the Lorentz-polarization factor, no thermal factor.

Structural model:
```
data_Sr3GeO5
_cell_length_a 6.9795
_cell_length_b 6.9795
_cell_length_c 11.3527
_cell_angle_alpha 90.00
_cell_angle_beta 90.00
_cell_angle_gamma 90.00
_symmetry_space_group_name_H-M 'I 4 c m'
_symmetry_Int_Tables_number 108
_symmetry_space_group_name_Hall 'I 4 -2c'
loop_
_atom_site_label
_atom_site_fract_x
_atom_site_fract_y
_atom_site_fract_z
_atom_site_occupancy
Sr1 0.0000 0.0000 0.0000 1
Sr2 0.1824 0.3176 0.2458 1
Ge1 0.0000 0.5000 0.4942 1
O1 0.0000 0.0000 0.2375 1
O2 0.1410 0.3590 0.5906 1
O3 0.1408 0.3592 0.8955 1
```

Main lines, low angle first (15° ≤ 2θ ≤ 90°):
d 3.010, I 25, hkl 2 1 1
d 2.973, I 100, hkl 2 0 2
d 2.838, I 31, hkl 0 0 4
d 2.468, I 30, hkl 2 2 0
d 2.408, I 47, hkl 2 1 3
d 2.207, I 12, hkl 3 1 0
d 1.862, I 24, hkl 2 2 4
d 1.674, I 12, hkl 4 1 1
d 1.663, I 20, hkl 2 0 6
d 1.545, I 13, hkl 4 1 3

=====

[6]
Structure and calculated X-ray powder pattern of MgAgPdO2 (a cell relaxed with GGA-PBE; Cu Kα, 1.54184 Å).
Kinematic intensities with the Lorentz-polarization factor, no thermal factor.

Structural model:
```
data_MgAgPdO2
_cell_length_a 2.9021
_cell_length_b 5.2549
_cell_length_c 5.7570
_cell_angle_alpha 90.00
_cell_angle_beta 90.00
_cell_angle_gamma 90.00
_symmetry_space_group_name_H-M 'P m m m'
_symmetry_Int_Tables_number 47
_symmetry_space_group_name_Hall '-P 2 2'
loop_
_atom_site_label
_atom_site_fract_x
_atom_site_fract_y
_atom_site_fract_z
_atom_site_occupancy
Mg1 0.0000 0.0000 0.0000 1
Ag1 0.5000 0.5000 0.0000 1
Pd1 0.0000 0.0000 0.5000 1
O1 0.5000 0.0000 0.2452 1
```

Main lines, low angle first (15° ≤ 2θ ≤ 90°):
d 3.881, I 100, hkl 0 1 1
d 2.879, I 28, hkl 0 0 2
d 2.627, I 37, hkl 0 2 0
d 2.591, I 35, hkl 1 0 1
d 2.540, I 39, hkl 1 1 0
d 1.941, I 18, hkl 0 2 2
d 1.905, I 55, hkl 1 1 2
d 1.845, I 25, hkl 1 2 1
d 1.803, I 12, hkl 0 1 3
d 1.330, I 16, hkl 1 3 2